The following is a calculated powder X-ray diffraction pattern of RbTlS6. It was derived from a crystal structure in Alexandria, relaxed with GGA-PBE, using Cu Kα, 1.54184 Å.

Crystal structure
```
data_RbTlS6
_cell_length_a 6.2218
_cell_length_b 6.2426
_cell_length_c 7.3876
_cell_angle_alpha 88.22
_cell_angle_beta 88.08
_cell_angle_gamma 84.12
_space_group_name_H-M_alt 'P -1'
_space_group_IT_number 2
loop_
_space_group_symop_operation_xyz
'x,y,z'
'-x,-y,-z'
loop_
_atom_site_label
_atom_site_type_symbol
_atom_site_fract_x
_atom_site_fract_y
_atom_site_fract_z
Rb1 Rb 0.0000 0.0000 0.0000
Tl1 Tl 0.5000 0.5000 0.0000
S1 S 0.0787 0.4720 0.7734
S2 S 0.2894 0.2885 0.6156
S3 S 0.4735 0.0791 0.7730
```

Main lines, low angle first (10 to 80 degrees two-theta):
2θ = 11.99°, d = 7.381 Å, rel. 100
2θ = 14.29°, d = 6.197 Å, rel. 40
2θ = 18.97°, d = 4.679 Å, rel. 42
2θ = 21.28°, d = 4.175 Å, rel. 26
2θ = 22.24°, d = 3.997 Å, rel. 24
2θ = 23.14°, d = 3.843 Å, rel. 52
2θ = 24.50°, d = 3.634 Å, rel. 29
2θ = 30.33°, d = 2.947 Å, rel. 32
2θ = 31.63°, d = 2.828 Å, rel. 42
2θ = 32.38°, d = 2.765 Å, rel. 48